Computed XRD peak list
Compound: Cr2AgN3
Radiation: Cu Kα, 1.54184 Å
Structure: a PBE-relaxed structure
Intensities are scaled so that the largest is 100.

Cell: 2.9217 2.9217 28.0259 Å, 90.00 90.00 120.00°
Space group P3_121 (No. 152)
Symmetry-distinct sites (fractional):
Cr: 0.1479 0.5958 0.2852 (multiplicity 6)
Ag: 0.0000 0.7041 0.1667 (multiplicity 3)
N: 0.0000 0.7357 0.6667 (multiplicity 3)
N: 0.1756 0.7169 0.4104 (multiplicity 6)

Top 10 peaks for 10° ≤ 2θ ≤ 80°, sorted by position:
two_theta	intensity
19.00	32
28.67	100
35.63	85
36.07	38
37.80	36
40.55	23
42.25	35
44.15	82
48.47	30
64.73	19